Starting from a crystal structure in Alexandria, relaxed with GGA-PBE, the PXRD pattern of Pr3Al2Cu6 was computed for Cu Kα (λ = 1.5418 Å).
Peak positions follow from Bragg's law for the DFT cell and can differ from measured ones.

Largest 12 diffraction maxima, sorted by position, 2θ from 10° to 90°:
two_theta	d_spacing	I_rel	h k l
23.14	3.844	11	2 1 1
26.78	3.329	16	2 2 0
30.01	2.978	34	3 1 0
32.95	2.718	22	2 2 2
35.68	2.516	34	3 2 1
38.23	2.354	23	4 0 0
40.65	2.219	100	3 3 0
57.03	1.615	12	4 3 3
58.85	1.569	11	6 0 0
60.62	1.527	21	5 3 2
65.79	1.419	18	6 2 2
73.98	1.281	20	6 3 3

Atomic structure:
Cell lengths 9.4158, 9.4158, 9.4158 Å; angles 90.00, 90.00, 90.00 degrees
Space group Im-3m (No. 229)
Symmetry-distinct sites (fractional):
Pr 0.0000 0.0000 0.2839 (multiplicity 12)
Al 0.2500 0.2500 0.2500 (multiplicity 8)
Cu 0.0000 0.3288 0.3288 (multiplicity 24)